Record 1
Starting from a cell relaxed with GGA-PBE, the X-ray powder pattern of HfSc4Sb5 was simulated for Cu Kα.
No peak broadening, texture or thermal motion is included.

Cell and atoms:
```
data_HfSc4Sb5
_chemical_formula_sum 'Hf2 Sc8 Sb10'
_symmetry_space_group_name_H-M 'I m m m'
_symmetry_Int_Tables_number 71
_symmetry_space_group_name_Hall '-I 2 2'
_cell_length_a 4.142
_cell_length_b 5.861
_cell_length_c 20.788
_cell_angle_alpha 90.00
_cell_angle_beta 90.00
_cell_angle_gamma 90.00
loop_
_atom_site_label
_atom_site_type_symbol
_atom_site_fract_x
_atom_site_fract_y
_atom_site_fract_z
Hf1 Hf 0.000 0.000 0.000
Sc1 Sc 0.000 0.000 0.199
Sc2 Sc 0.000 0.000 0.399
Sb1 Sb 0.000 0.500 0.000
Sb2 Sb 0.000 0.500 0.200
Sb3 Sb 0.000 0.500 0.401
```

Principal peaks in the range 2θ from 10° to 90°, in order of falling intensity:
2.933 Å, rel. 100, hkl 1 0 5; 2.073 Å, rel. 61, hkl 2 0 0; 1.311 Å, rel. 21, hkl 2 2 10; 3.387 Å, rel. 13, hkl 1 1 0; 1.695 Å, rel. 13, hkl 0 2 10; 1.691 Å, rel. 13, hkl 2 2 0; 2.079 Å, rel. 12, hkl 0 0 10; 1.196 Å, rel. 12, hkl 3 2 5

---

Record 2
Starting from a cell relaxed with GGA-PBE, the X-ray powder pattern of Hf2Sc3Sb3 was simulated for Cu Kα.
No peak broadening, texture or thermal motion is included.

Cell and atoms:
```
data_Hf2Sc3Sb3
_chemical_formula_sum 'Hf4 Sc6 Sb6'
_symmetry_space_group_name_H-M 'P 63/m c m'
_symmetry_Int_Tables_number 193
_symmetry_space_group_name_Hall '-P 6c 2'
_cell_length_a 8.4771
_cell_length_b 8.4771
_cell_length_c 5.8137
_cell_angle_alpha 90.00
_cell_angle_beta 90.00
_cell_angle_gamma 120.00
loop_
_atom_site_label
_atom_site_type_symbol
_atom_site_fract_x
_atom_site_fract_y
_atom_site_fract_z
Hf1 Hf 0.3333 0.6667 0.0000
Sc1 Sc 0.0000 0.2542 0.2500
Sb1 Sb 0.0000 0.3852 0.7500
```

Principal peaks in the range 2θ from 10° to 90°, in order of falling intensity:
2.397 Å, rel. 100, hkl 1 1 2; 7.341 Å, rel. 87, hkl 1 0 0; 2.447 Å, rel. 72, hkl 3 0 0; 2.504 Å, rel. 37, hkl 2 1 1; 3.425 Å, rel. 29, hkl 1 1 1; 1.712 Å, rel. 26, hkl 2 2 2; 1.403 Å, rel. 26, hkl 4 1 2; 2.775 Å, rel. 24, hkl 2 1 0

---

Record 3
Starting from a cell relaxed with GGA-PBE, the X-ray powder pattern of Hf5ScSb4 was simulated for Cu Kα.
No peak broadening, texture or thermal motion is included.

Cell and atoms:
```
data_Hf5ScSb4
_chemical_formula_sum 'Hf10 Sc2 Sb8'
_symmetry_space_group_name_H-M 'P m m n'
_symmetry_Int_Tables_number 59
_cell_length_a 8.563
_cell_length_b 8.879
_cell_length_c 6.964
_cell_angle_alpha 90.00
_cell_angle_beta 90.00
_cell_angle_gamma 90.00
loop_
_symmetry_equiv_pos_as_xyz
'x,y,z'
'-x,-y,-z'
'-x+1/2,-y+1/2,z'
'x+1/2,y+1/2,-z'
'x+1/2,-y,-z'
'-x+1/2,y,z'
'-x,y+1/2,-z'
'x,-y+1/2,z'
loop_
_atom_site_label
_atom_site_type_symbol
_atom_site_fract_x
_atom_site_fract_y
_atom_site_fract_z
Hf1 Hf 0.066 0.048 0.236
Hf2 Hf 0.250 0.750 0.225
Sc1 Sc 0.250 0.250 0.882
Sb1 Sb 0.029 0.250 0.560
Sb2 Sb 0.250 0.560 0.900
```

Principal peaks in the range 2θ from 10° to 90°, in order of falling intensity:
2.722 Å, rel. 100, hkl 0 3 1; 2.270 Å, rel. 69, hkl 3 2 1; 2.308 Å, rel. 60, hkl 2 2 2; 3.647 Å, rel. 32, hkl 2 0 1; 5.403 Å, rel. 30, hkl 1 0 1; 2.641 Å, rel. 28, hkl 3 0 1; 3.482 Å, rel. 28, hkl 0 0 2; 2.240 Å, rel. 25, hkl 1 0 3

---

Record 4
Starting from a cell relaxed with GGA-PBE, the X-ray powder pattern of Hf6SiSb3 was simulated for Cu Kα.
No peak broadening, texture or thermal motion is included.

Cell and atoms:
```
data_Hf6SiSb3
_chemical_formula_sum 'Hf12 Si2 Sb6'
_symmetry_space_group_name_H-M 'P 1 21/c 1'
_symmetry_Int_Tables_number 14
_cell_length_a 6.619
_cell_length_b 7.652
_cell_length_c 11.122
_cell_angle_alpha 90.00
_cell_angle_beta 126.47
_cell_angle_gamma 90.00
loop_
_symmetry_equiv_pos_as_xyz
'x,y,z'
'-x,-y,-z'
'-x,y+1/2,-z+1/2'
'x,-y+1/2,z+1/2'
loop_
_atom_site_label
_atom_site_type_symbol
_atom_site_fract_x
_atom_site_fract_y
_atom_site_fract_z
Hf1 Hf 0.015 0.072 0.237
Hf2 Hf 0.191 0.688 0.060
Hf3 Hf 0.399 0.150 0.047
Si1 Si 0.000 0.000 0.000
Sb1 Sb 0.319 0.136 0.739
Sb2 Sb 0.500 0.000 0.500
```

Principal peaks in the range 2θ from 10° to 90°, in order of falling intensity:
2.662 Å, rel. 100, hkl 1 2 -3; 2.513 Å, rel. 47, hkl 2 1 0; 2.719 Å, rel. 45, hkl 1 0 2; 2.561 Å, rel. 42, hkl 1 1 -4; 2.380 Å, rel. 37, hkl 1 3 -1; 3.106 Å, rel. 36, hkl 1 2 -2; 2.876 Å, rel. 32, hkl 2 1 -3; 3.037 Å, rel. 30, hkl 2 1 -2